Computed powder diffraction line list
Compound: Pb4C2SO12
Radiation: Cu Kα (weighted mean of Kα1 and Kα2)
Structure: a structure optimized by DFT (GGA-PBE)
No peak broadening, texture or thermal motion is included.

```
Pb4C2SO12
1.0
9.1786 0.0000 0.0000
-4.5893 7.9489 0.0000
0.0000 0.0000 11.8439
Pb C S O
12 6 3 36
Direct
0.0020 0.2825 0.0000
0.0036 0.3196 0.4424
0.2805 0.9980 0.0000
0.3160 0.9964 0.4424
0.3481 0.3474 0.2273
0.3958 0.3830 0.6714
0.6170 0.0128 0.6714
0.6526 0.0007 0.2273
0.6804 0.6840 0.4424
0.7175 0.7195 0.0000
0.9872 0.6042 0.6714
0.9993 0.6519 0.2273
0.0000 0.0000 0.2018
0.0000 0.0000 0.4932
0.3333 0.6667 0.1788
0.3333 0.6667 0.4806
0.6667 0.3333 0.1762
0.6667 0.3333 0.4808
0.0000 0.0000 0.8223
0.3333 0.6667 0.8359
0.6667 0.3333 0.8388
0.0000 0.0000 0.9529
0.0038 0.7294 0.0439
0.0065 0.1450 0.2030
0.0069 0.8619 0.4911
0.0679 0.1775 0.7874
0.1096 0.9321 0.7874
0.1381 0.1450 0.4911
0.1386 0.9935 0.2030
0.1544 0.5766 0.8755
0.1863 0.5299 0.1804
0.1970 0.6774 0.4788
0.2706 0.2744 0.0439
0.3226 0.5196 0.4788
0.3333 0.6667 0.7083
0.3437 0.8137 0.1804
0.3774 0.0418 0.6297
0.4223 0.8456 0.8755
0.4234 0.5777 0.8755
0.4701 0.6563 0.1804
0.4804 0.8030 0.4788
0.4913 0.2760 0.8755
0.5278 0.3385 0.4792
0.5290 0.1884 0.1780
0.6594 0.4710 0.1780
0.6615 0.1893 0.4792
0.6645 0.6226 0.6297
0.6667 0.3333 0.7100
0.7240 0.2153 0.8755
0.7256 0.9962 0.0439
0.7847 0.5087 0.8755
0.8107 0.4722 0.4792
0.8116 0.3406 0.1780
0.8225 0.8904 0.7874
0.8550 0.8614 0.2030
0.8550 0.9931 0.4911
0.9582 0.3355 0.6297
```

The 8 most intense peaks (5 to 70 degrees two-theta), low angle first:
hkl 1 1 0, 4.589 Å, I 18
hkl 2 -1 2, 3.628 Å, I 100
hkl 1 1 3, 2.993 Å, I 20
hkl 3 0 0, 2.650 Å, I 34
hkl 2 2 2, 2.140 Å, I 25
hkl 3 0 4, 1.974 Å, I 14
hkl 3 0 5, 1.766 Å, I 15
hkl 1 1 7, 1.588 Å, I 15